(1)
Diffraction record for K2InSnI4. The PXRD pattern is simulated, not measured: it uses a crystal structure in Alexandria, relaxed with PBE and Cu Kα, 1.54184 Å.
No peak broadening, texture or thermal motion is included.

Atomic structure:
```
data_K2InSnI4
_chemical_formula_sum 'K4 In2 Sn2 I8'
_cell_length_a 7.055
_cell_length_b 7.055
_cell_length_c 13.961
_cell_angle_alpha 90.00
_cell_angle_beta 90.00
_cell_angle_gamma 90.00
_space_group_name_H-M_alt 'I -4 m 2'
_space_group_IT_number 119
_space_group_name_Hall 'I -4 -2'
loop_
_atom_site_label
_atom_site_type_symbol
_atom_site_fract_x
_atom_site_fract_y
_atom_site_fract_z
K1 K 0.000 0.000 0.000
K2 K 0.000 0.500 0.250
In1 In 0.000 0.000 0.500
Sn1 Sn 0.000 0.500 0.750
I1 I 0.000 0.000 0.252
I2 I 0.000 0.500 0.514
```

Peak list (12 most intense, 2θ = 10–90°, low angle first)
hkl 1 0 1, 14.1 deg, rel. 18; hkl 1 1 2, 21.9 deg, rel. 13; hkl 2 0 0, 25.2 deg, rel. 100; hkl 0 0 4, 25.5 deg, rel. 47; hkl 2 2 0, 36.0 deg, rel. 39; hkl 2 0 4, 36.2 deg, rel. 74; hkl 2 2 4, 44.7 deg, rel. 40; hkl 4 0 0, 51.8 deg, rel. 13; hkl 4 2 0, 58.5 deg, rel. 19; hkl 4 0 4, 58.6 deg, rel. 18; hkl 2 0 8, 59.1 deg, rel. 15; hkl 4 2 4, 64.9 deg, rel. 26

---

(2)
Diffraction record for K2SrInI6. The PXRD pattern is simulated, not measured: it uses a crystal structure in Alexandria, relaxed with PBE and Cu Kα, 1.54184 Å.
No peak broadening, texture or thermal motion is included.

Atomic structure:
```
data_K2SrInI6
_chemical_formula_sum 'K6 Sr3 In3 I18'
_cell_length_a 8.6193
_cell_length_b 8.6193
_cell_length_c 22.1232
_cell_angle_alpha 90.00
_cell_angle_beta 90.00
_cell_angle_gamma 120.00
_space_group_name_H-M_alt 'R 3'
_space_group_IT_number 146
_space_group_name_Hall 'R 3'
loop_
_atom_site_label
_atom_site_type_symbol
_atom_site_fract_x
_atom_site_fract_y
_atom_site_fract_z
K1 K 0.0000 0.0000 0.0000
K2 K 0.0000 0.0000 0.4990
Sr1 Sr 0.0000 0.0000 0.2072
In1 In 0.0000 0.0000 0.7062
I1 I 0.0595 0.3370 0.7815
I2 I 0.0652 0.7118 0.2838
```

Peak list (12 most intense, 2θ = 10–90°, low angle first)
hkl 0 1 2, 14.3 deg, rel. 40; hkl 2 -1 3, 23.9 deg, rel. 100; hkl 0 0 6, 24.1 deg, rel. 14; hkl 0 2 4, 28.9 deg, rel. 33; hkl 2 -1 6, 32.0 deg, rel. 61; hkl 3 0 0, 36.1 deg, rel. 32; hkl 1 1 9, 42.3 deg, rel. 22; hkl 1 3 1, 43.9 deg, rel. 17; hkl 4 -1 2, 44.5 deg, rel. 12; hkl 3 2 4, 56.2 deg, rel. 15; hkl 0 3 12, 62.7 deg, rel. 11; hkl 0 5 4, 64.6 deg, rel. 12

---

(3)
Diffraction record for K2UInI8. The PXRD pattern is simulated, not measured: it uses a crystal structure in Alexandria, relaxed with PBE and Cu Kα, 1.54184 Å.
No peak broadening, texture or thermal motion is included.

Atomic structure:
```
data_K2UInI8
_chemical_formula_sum 'K2 U1 In1 I8'
_cell_length_a 7.568
_cell_length_b 9.915
_cell_length_c 8.077
_cell_angle_alpha 90.00
_cell_angle_beta 93.04
_cell_angle_gamma 90.00
_space_group_name_H-M_alt 'P 1 2/m 1'
_space_group_IT_number 10
loop_
_space_group_symop_operation_xyz
'x,y,z'
'-x,-y,-z'
'-x,y,-z'
'x,-y,z'
loop_
_atom_site_label
_atom_site_type_symbol
_atom_site_fract_x
_atom_site_fract_y
_atom_site_fract_z
K1 K 0.000 0.248 0.000
U1 U 0.500 0.500 0.500
In1 In 0.500 0.000 0.500
I1 I 0.255 0.000 0.182
I2 I 0.277 0.279 0.629
I3 I 0.284 0.500 0.179
```

Peak list (12 most intense, 2θ = 10–90°, low angle first)
hkl 0 0 1, 11.0 deg, rel. 46; hkl 1 0 0, 11.7 deg, rel. 42; hkl 1 0 -1, 15.6 deg, rel. 44; hkl 1 2 -1, 23.8 deg, rel. 100; hkl 1 0 -2, 24.4 deg, rel. 60; hkl 1 0 2, 25.6 deg, rel. 54; hkl 2 2 -1, 31.3 deg, rel. 79; hkl 2 2 1, 32.2 deg, rel. 25; hkl 2 0 2, 33.3 deg, rel. 26; hkl 0 4 0, 36.2 deg, rel. 30; hkl 0 2 3, 38.1 deg, rel. 57; hkl 3 2 1, 42.3 deg, rel. 36